Calculated powder diffraction line list of BaSr2Pu for Cu Kα (λ = 1.5418 Å), from the GGA-PBE geometry in Alexandria.

Main lines, by angle (15° ≤ 2θ ≤ 90°):
d = 3.603 Å, intensity 56
d = 3.397 Å, intensity 32
d = 3.366 Å, intensity 100
d = 3.250 Å, intensity 34
d = 2.883 Å, intensity 25
d = 2.677 Å, intensity 53
d = 2.575 Å, intensity 15
d = 2.289 Å, intensity 36
d = 1.968 Å, intensity 32
d = 1.727 Å, intensity 42
d = 1.703 Å, intensity 18
d = 1.329 Å, intensity 18

Atomic structure:
```
data_BaSr2Pu
_cell_length_a 3.9351
_cell_length_b 3.9351
_cell_length_c 43.2405
_cell_angle_alpha 90.00
_cell_angle_beta 90.00
_cell_angle_gamma 120.00
_symmetry_space_group_name_H-M 'R -3 m'
_symmetry_Int_Tables_number 166
_symmetry_space_group_name_Hall '-R 3 2"'
loop_
_atom_site_label
_atom_site_fract_x
_atom_site_fract_y
_atom_site_fract_z
Ba1 0.0000 0.0000 0.0000
Sr1 0.0000 0.0000 0.4172
Pu1 0.0000 0.0000 0.5000
```

Calculated powder diffraction line list of Rb3Ba for Cu Kα (λ = 1.5418 Å), from the GGA-PBE geometry in Alexandria.

Main lines, by angle (15° ≤ 2θ ≤ 90°):
d = 3.971 Å, intensity 100
d = 3.439 Å, intensity 52
d = 2.432 Å, intensity 41
d = 2.074 Å, intensity 50
d = 1.986 Å, intensity 15
d = 1.720 Å, intensity 7
d = 1.578 Å, intensity 21
d = 1.538 Å, intensity 19
d = 1.404 Å, intensity 14
d = 1.324 Å, intensity 16
d = 1.163 Å, intensity 16
d = 1.146 Å, intensity 9

Atomic structure:
```
data_Rb3Ba
_cell_length_a 6.879
_cell_length_b 6.879
_cell_length_c 6.879
_cell_angle_alpha 90.00
_cell_angle_beta 90.00
_cell_angle_gamma 90.00
_symmetry_space_group_name_H-M 'P m -3 m'
_symmetry_Int_Tables_number 221
_symmetry_space_group_name_Hall '-P 4 2 3'
loop_
_atom_site_label
_atom_site_fract_x
_atom_site_fract_y
_atom_site_fract_z
Rb1 0.000 0.000 0.500
Ba1 0.500 0.500 0.500
```

Calculated powder diffraction line list of Rb3Ba for Cu Kα (λ = 1.5418 Å), from the GGA-PBE geometry in Alexandria.

Main lines, by angle (15° ≤ 2θ ≤ 90°):
d = 4.118 Å, intensity 31
d = 4.025 Å, intensity 46
d = 3.810 Å, intensity 68
d = 3.666 Å, intensity 100
d = 2.878 Å, intensity 25
d = 2.455 Å, intensity 23
d = 2.280 Å, intensity 17
d = 2.248 Å, intensity 26
d = 2.096 Å, intensity 29
d = 2.024 Å, intensity 14
d = 1.995 Å, intensity 22
d = 1.591 Å, intensity 15

Atomic structure:
```
data_Rb3Ba
_cell_length_a 4.683
_cell_length_b 8.049
_cell_length_c 8.651
_cell_angle_alpha 90.00
_cell_angle_beta 90.00
_cell_angle_gamma 90.00
_symmetry_space_group_name_H-M 'P m m 2'
_symmetry_Int_Tables_number 25
loop_
_symmetry_equiv_pos_as_xyz
'x,y,z'
'-x,-y,z'
'-x,y,z'
'x,-y,z'
loop_
_atom_site_label
_atom_site_fract_x
_atom_site_fract_y
_atom_site_fract_z
Rb1 0.000 0.000 0.000
Rb2 0.000 0.500 0.317
Rb3 0.500 0.500 0.804
Ba1 0.500 0.000 0.498
```

Calculated powder diffraction line list of RbBa4 for Cu Kα (λ = 1.5418 Å), from the GGA-PBE geometry in Alexandria.

Main lines, by angle (15° ≤ 2θ ≤ 90°):
d = 4.105 Å, intensity 97
d = 3.555 Å, intensity 100
d = 2.514 Å, intensity 79
d = 2.144 Å, intensity 51
d = 2.053 Å, intensity 29
d = 1.778 Å, intensity 14
d = 1.631 Å, intensity 22
d = 1.590 Å, intensity 38
d = 1.451 Å, intensity 28
d = 1.368 Å, intensity 16
d = 1.202 Å, intensity 16
d = 1.185 Å, intensity 19

Atomic structure:
```
data_RbBa4
_cell_length_a 7.111
_cell_length_b 7.111
_cell_length_c 7.111
_cell_angle_alpha 90.00
_cell_angle_beta 90.00
_cell_angle_gamma 90.00
_symmetry_space_group_name_H-M 'P m -3 m'
_symmetry_Int_Tables_number 221
_symmetry_space_group_name_Hall '-P 4 2 3'
loop_
_atom_site_label
_atom_site_fract_x
_atom_site_fract_y
_atom_site_fract_z
Rb1 0.000 0.000 0.000
Ba1 0.000 0.000 0.500
Ba2 0.500 0.500 0.500
```

Calculated powder diffraction line list of Rb3BaS8 for Cu Kα (λ = 1.5418 Å), from the GGA-PBE geometry in Alexandria.

Main lines, by angle (15° ≤ 2θ ≤ 90°):
d = 4.435 Å, intensity 43
d = 3.934 Å, intensity 100
d = 3.439 Å, intensity 49
d = 3.259 Å, intensity 69
d = 3.064 Å, intensity 51
d = 2.773 Å, intensity 25
d = 2.698 Å, intensity 40
d = 2.626 Å, intensity 35
d = 2.366 Å, intensity 35
d = 2.352 Å, intensity 25
d = 2.232 Å, intensity 35
d = 2.007 Å, intensity 24

Atomic structure:
```
data_Rb3BaS8
_cell_length_a 10.206
_cell_length_b 13.037
_cell_length_c 7.051
_cell_angle_alpha 90.00
_cell_angle_beta 119.64
_cell_angle_gamma 90.00
_symmetry_space_group_name_H-M 'C 1 m 1'
_symmetry_Int_Tables_number 8
loop_
_symmetry_equiv_pos_as_xyz
'x,y,z'
'x,-y,z'
'x+1/2,y+1/2,z'
'x+1/2,-y+1/2,z'
loop_
_atom_site_label
_atom_site_fract_x
_atom_site_fract_y
_atom_site_fract_z
Rb1 0.000 0.000 0.000
Rb2 0.052 0.254 0.543
Ba1 0.489 0.000 0.950
S1 0.048 0.266 0.055
S2 0.164 0.500 0.480
S3 0.170 0.000 0.534
S4 0.241 0.329 0.090
S5 0.327 0.500 0.401
S6 0.341 0.000 0.450
```

Calculated powder diffraction line list of RbBaSbS3 for Cu Kα (λ = 1.5418 Å), from the GGA-PBE geometry in Alexandria.

Main lines, by angle (15° ≤ 2θ ≤ 90°):
d = 3.793 Å, intensity 63
d = 3.505 Å, intensity 30
d = 3.477 Å, intensity 31
d = 3.390 Å, intensity 100
d = 2.784 Å, intensity 41
d = 2.640 Å, intensity 16
d = 2.591 Å, intensity 44
d = 2.158 Å, intensity 20
d = 2.145 Å, intensity 20
d = 2.085 Å, intensity 20
d = 2.078 Å, intensity 15
d = 1.897 Å, intensity 26

Atomic structure:
```
data_RbBaSbS3
_cell_length_a 17.329
_cell_length_b 5.182
_cell_length_c 8.965
_cell_angle_alpha 90.00
_cell_angle_beta 105.46
_cell_angle_gamma 90.00
_symmetry_space_group_name_H-M 'C 1 2/m 1'
_symmetry_Int_Tables_number 12
loop_
_symmetry_equiv_pos_as_xyz
'x,y,z'
'-x,-y,-z'
'-x,y,-z'
'x,-y,z'
'x+1/2,y+1/2,z'
'-x+1/2,-y+1/2,-z'
'-x+1/2,y+1/2,-z'
'x+1/2,-y+1/2,z'
loop_
_atom_site_label
_atom_site_fract_x
_atom_site_fract_y
_atom_site_fract_z
Rb1 0.141 0.000 0.071
Ba1 0.158 0.000 0.582
Sb1 0.001 0.500 0.677
S1 0.003 0.000 0.287
S2 0.150 0.500 0.808
S3 0.155 0.500 0.349
```

Calculated powder diffraction line list of RbBaVS4 for Cu Kα (λ = 1.5418 Å), from the GGA-PBE geometry in Alexandria.

Main lines, by angle (15° ≤ 2θ ≤ 90°):
d = 4.807 Å, intensity 99
d = 3.759 Å, intensity 44
d = 3.677 Å, intensity 72
d = 3.409 Å, intensity 89
d = 3.342 Å, intensity 56
d = 3.176 Å, intensity 84
d = 3.001 Å, intensity 98
d = 2.879 Å, intensity 56
d = 2.719 Å, intensity 59
d = 2.404 Å, intensity 100
d = 2.346 Å, intensity 54
d = 1.704 Å, intensity 43

Atomic structure:
```
data_RbBaVS4
_cell_length_a 7.071
_cell_length_b 6.818
_cell_length_c 9.396
_cell_angle_alpha 90.00
_cell_angle_beta 106.46
_cell_angle_gamma 90.00
_symmetry_space_group_name_H-M 'P 1 21/m 1'
_symmetry_Int_Tables_number 11
loop_
_symmetry_equiv_pos_as_xyz
'x,y,z'
'-x,-y,-z'
'-x,y+1/2,-z'
'x,-y+1/2,z'
loop_
_atom_site_label
_atom_site_fract_x
_atom_site_fract_y
_atom_site_fract_z
Rb1 0.216 0.250 0.435
Ba1 0.266 0.250 0.956
V1 0.302 0.750 0.198
S1 0.102 0.750 0.333
S2 0.145 0.750 0.963
S3 0.495 0.001 0.244
```

Calculated powder diffraction line list of Rb2BaSnSb2 for Cu Kα (λ = 1.5418 Å), from the GGA-PBE geometry in Alexandria.

Main lines, by angle (15° ≤ 2θ ≤ 90°):
d = 3.475 Å, intensity 95
d = 3.311 Å, intensity 38
d = 3.292 Å, intensity 100
d = 3.241 Å, intensity 46
d = 2.812 Å, intensity 45
d = 2.786 Å, intensity 22
d = 2.686 Å, intensity 54
d = 2.448 Å, intensity 21
d = 2.398 Å, intensity 45
d = 1.928 Å, intensity 21
d = 1.830 Å, intensity 31
d = 1.825 Å, intensity 25

Atomic structure:
```
data_Rb2BaSnSb2
_cell_length_a 4.796
_cell_length_b 10.269
_cell_length_c 10.083
_cell_angle_alpha 90.00
_cell_angle_beta 90.00
_cell_angle_gamma 90.00
_symmetry_space_group_name_H-M 'P m c 21'
_symmetry_Int_Tables_number 26
loop_
_symmetry_equiv_pos_as_xyz
'x,y,z'
'-x,-y,z+1/2'
'-x,y,z'
'x,-y,z+1/2'
loop_
_atom_site_label
_atom_site_fract_x
_atom_site_fract_y
_atom_site_fract_z
Rb1 0.000 0.087 0.000
Rb2 0.500 0.197 0.322
Ba1 0.500 0.438 0.889
Sn1 0.000 0.289 0.589
Sb1 0.000 0.436 0.165
Sb2 0.500 0.150 0.718
```